Structure and computed X-ray diffraction stick pattern of Tm5AlPb2 (the PBE geometry in Alexandria; Cu Ka).

Principal peaks in the range 2θ from 15° to 90°, low angle first:
- 2θ 30.3, intensity 328
- 2θ 30.7, intensity 1000
- 2θ 33.5, intensity 544
- 2θ 33.6, intensity 258
- 2θ 33.9, intensity 462
- 2θ 34.2, intensity 345
- 2θ 34.7, intensity 460
- 2θ 38.0, intensity 273
- 2θ 49.2, intensity 230
- 2θ 56.4, intensity 238

Structural model:
Unit cell a=6.068 b=6.068 c=20.605 alpha=90.00 beta=90.00 gamma=144.48
Positions (direct):
Tm 0.033 0.967 0.750
Tm 0.134 0.866 0.527
Tm 0.134 0.866 0.973
Tm 0.424 0.576 0.612
Tm 0.424 0.576 0.888
Tm 0.576 0.424 0.112
Tm 0.576 0.424 0.388
Tm 0.866 0.134 0.027
Tm 0.866 0.134 0.473
Tm 0.967 0.033 0.250
Al 0.317 0.683 0.750
Al 0.683 0.317 0.250
Pb 0.300 0.700 0.156
Pb 0.300 0.700 0.344
Pb 0.700 0.300 0.656
Pb 0.700 0.300 0.844

=====

Structure and computed X-ray diffraction stick pattern of Tm5Al2Pb2 (the PBE geometry in Alexandria; Cu Ka).

Principal peaks in the range 2θ from 15° to 90°, low angle first:
- 2θ 25.1, intensity 591
- 2θ 30.8, intensity 589
- 2θ 32.0, intensity 1000
- 2θ 32.2, intensity 983
- 2θ 32.5, intensity 923
- 2θ 33.0, intensity 955
- 2θ 34.2, intensity 633
- 2θ 36.1, intensity 516
- 2θ 36.7, intensity 489
- 2θ 57.7, intensity 437

Structural model:
Unit cell a=8.727 b=8.727 c=7.829 alpha=90.00 beta=90.00 gamma=54.39
Positions (direct):
Tm 0.000 0.000 0.000
Tm 0.046 0.691 0.675
Tm 0.191 0.546 0.175
Tm 0.309 0.954 0.675
Tm 0.454 0.809 0.175
Tm 0.500 0.500 0.500
Tm 0.546 0.191 0.825
Tm 0.691 0.046 0.325
Tm 0.809 0.454 0.825
Tm 0.954 0.309 0.325
Al 0.119 0.881 0.379
Al 0.381 0.619 0.879
Al 0.619 0.381 0.121
Al 0.881 0.119 0.621
Pb 0.213 0.213 0.000
Pb 0.287 0.287 0.500
Pb 0.713 0.713 0.500
Pb 0.787 0.787 0.000

=====

Structure and computed X-ray diffraction stick pattern of Tm3Al2Pb2 (the PBE geometry in Alexandria; Cu Ka).

Principal peaks in the range 2θ from 15° to 90°, low angle first:
- 2θ 18.4, intensity 269
- 2θ 26.6, intensity 359
- 2θ 31.4, intensity 345
- 2θ 32.7, intensity 748
- 2θ 34.1, intensity 312
- 2θ 36.1, intensity 1000
- 2θ 36.2, intensity 375
- 2θ 45.4, intensity 174
- 2θ 50.5, intensity 207
- 2θ 65.5, intensity 360

Structural model:
Unit cell a=10.502 b=10.502 c=10.502 alpha=160.94 beta=152.63 gamma=33.57
Positions (direct):
Tm 0.000 0.000 0.000
Tm 0.307 0.807 0.500
Tm 0.693 0.193 0.500
Al 0.437 0.437 0.000
Al 0.563 0.563 0.000
Pb 0.147 0.647 0.500
Pb 0.853 0.353 0.500

=====

Structure and computed X-ray diffraction stick pattern of Tm10Al3Pb3 (the PBE geometry in Alexandria; Cu Ka).

Principal peaks in the range 2θ from 15° to 90°, low angle first:
- 2θ 27.4, intensity 150
- 2θ 29.9, intensity 227
- 2θ 31.1, intensity 394
- 2θ 34.1, intensity 1000
- 2θ 34.3, intensity 791
- 2θ 35.4, intensity 314
- 2θ 50.1, intensity 187
- 2θ 52.9, intensity 294
- 2θ 56.0, intensity 158
- 2θ 68.0, intensity 178

Structural model:
Unit cell a=8.791 b=8.791 c=6.504 alpha=90.00 beta=90.00 gamma=120.00
Positions (direct):
Tm 0.000 0.237 0.000
Tm 0.000 0.765 0.500
Tm 0.235 0.235 0.500
Tm 0.237 0.000 0.000
Tm 0.333 0.667 0.240
Tm 0.333 0.667 0.760
Tm 0.667 0.333 0.240
Tm 0.667 0.333 0.760
Tm 0.763 0.763 0.000
Tm 0.765 0.000 0.500
Al 0.000 0.601 0.000
Al 0.399 0.399 0.000
Al 0.601 0.000 0.000
Pb 0.000 0.401 0.500
Pb 0.401 0.000 0.500
Pb 0.599 0.599 0.500

=====

Structure and computed X-ray diffraction stick pattern of AlPbW (the PBE geometry in Alexandria; Cu Ka).

Principal peaks in the range 2θ from 15° to 90°, low angle first:
- 2θ 25.7, intensity 150
- 2θ 30.7, intensity 277
- 2θ 35.9, intensity 1000
- 2θ 39.0, intensity 183
- 2θ 43.0, intensity 315
- 2θ 59.4, intensity 218
- 2θ 62.4, intensity 106
- 2θ 68.6, intensity 169
- 2θ 74.1, intensity 251
- 2θ 76.0, intensity 108

Structural model:
Unit cell a=7.249 b=7.249 c=7.249 alpha=156.29 beta=156.29 gamma=33.77
Positions (direct):
Al 0.000 0.000 0.000
Pb 0.299 0.299 0.000
W 0.626 0.626 0.000

=====

Structure and computed X-ray diffraction stick pattern of AlPbW (the PBE geometry in Alexandria; Cu Ka).

Principal peaks in the range 2θ from 15° to 90°, low angle first:
- 2θ 18.9, intensity 158
- 2θ 27.4, intensity 509
- 2θ 36.7, intensity 605
- 2θ 38.8, intensity 1000
- 2θ 52.9, intensity 216
- 2θ 54.1, intensity 138
- 2θ 60.6, intensity 117
- 2θ 67.4, intensity 403
- 2θ 71.5, intensity 151
- 2θ 89.4, intensity 105

Structural model:
Unit cell a=5.299 b=5.299 c=5.299 alpha=141.84 beta=141.84 gamma=55.07
Positions (direct):
Al 0.000 0.000 0.000
Pb 0.310 0.310 0.000
W 0.627 0.627 0.000